# 1
RbZn14: calculated PXRD pattern (Cu Kα), based on a structure optimized by DFT (PBE).

Cell and atoms:
Cell lengths 6.7712, 6.7712, 6.7712 Å; angles 89.59, 89.59, 89.59 degrees
Fractional coordinates of all 15 atoms:
1 Rb 0.0000 0.0000 0.0000
2 Zn 0.1384 0.5000 0.8616
3 Zn 0.1384 0.8616 0.5000
4 Zn 0.2202 0.2202 0.6290
5 Zn 0.2202 0.6290 0.2202
6 Zn 0.2667 0.2667 0.2667
7 Zn 0.3710 0.7798 0.7798
8 Zn 0.5000 0.1384 0.8616
9 Zn 0.5000 0.8616 0.1384
10 Zn 0.6290 0.2202 0.2202
11 Zn 0.7333 0.7333 0.7333
12 Zn 0.7798 0.3710 0.7798
13 Zn 0.7798 0.7798 0.3710
14 Zn 0.8616 0.1384 0.5000
15 Zn 0.8616 0.5000 0.1384

Peak list (8 most intense, 2θ from 5° to 70°, sorted by position)
two_theta  Rel. int.
26.33  37
29.41  66
29.58  83
32.49  100
39.95  88
42.11  64
44.40  100
57.97  64

---

# 2
Ta4W9: calculated PXRD pattern (Cu Kα), based on a structure optimized by DFT (PBE).

Cell and atoms:
Cell lengths 9.9527, 9.9527, 9.9527 Å; angles 30.51, 30.51, 30.51 degrees
Fractional coordinates of all 13 atoms:
1 Ta 0.1490 0.1490 0.1490
2 Ta 0.3324 0.3324 0.3324
3 Ta 0.6676 0.6676 0.6676
4 Ta 0.8510 0.8510 0.8510
5 W 0.0451 0.0451 0.0451
6 W 0.0865 0.5907 0.5907
7 W 0.4093 0.4093 0.9135
8 W 0.4093 0.9135 0.4093
9 W 0.5000 0.5000 0.5000
10 W 0.5907 0.0865 0.5907
11 W 0.5907 0.5907 0.0865
12 W 0.9135 0.4093 0.4093
13 W 0.9549 0.9549 0.9549

Peak list (8 most intense, 2θ from 5° to 70°, sorted by position)
two_theta  Rel. int.
34.24  46
37.31  43
39.30  100
39.88  48
40.14  66
42.93  56
65.30  32
69.86  24